1.
The following is a calculated powder XRD pattern of La4C2Cl5. It was derived from a GGA-PBE-relaxed structure, using a wavelength of 1.5418 Å.

Cell: 9.8400 9.8400 9.8400 Å, 156.67 132.18 53.87°
Atoms (fractional coordinates):
La 0.1716 0.1716 0.0000
La 0.2131 0.5000 0.7131
La 0.7869 0.5000 0.2869
La 0.8284 0.8284 0.0000
C 0.0405 0.0405 0.0000
C 0.9595 0.9595 0.0000
Cl 0.1048 0.3326 0.7723
Cl 0.4397 0.6674 0.7723
Cl 0.5000 0.0000 0.5000
Cl 0.5603 0.3326 0.2277
Cl 0.8952 0.6674 0.2277

Top 6 peaks for 2θ from 10° to 80°, in order of rising 2θ:
2theta, I_rel
12.2, 56
27.1, 73
30.6, 60
32.2, 100
37.1, 37
41.1, 56

2.
The following is a calculated powder XRD pattern of VCu3HgSe4. It was derived from a GGA-PBE-relaxed structure, using a wavelength of 1.5418 Å.

Cell: 5.9432 5.9432 5.9432 Å, 90.00 90.00 90.00°
Atoms (fractional coordinates):
V 0.0000 0.0000 0.0000
Cu 0.0000 0.0000 0.5000
Cu 0.0000 0.5000 0.0000
Cu 0.5000 0.0000 0.0000
Hg 0.5000 0.5000 0.5000
Se 0.2269 0.2269 0.2269
Se 0.2269 0.7731 0.7731
Se 0.7731 0.2269 0.7731
Se 0.7731 0.7731 0.2269

Top 6 peaks for 2θ from 10° to 80°, in order of rising 2θ:
2theta, I_rel
21.1, 38
26.0, 100
37.1, 20
43.0, 97
51.0, 44
78.9, 27